Structure and theoretical powder XRD pattern of Pa5P4S (a crystal structure in Alexandria, relaxed with PBE; Cu Ka).
Lines closer than 0.1° are merged.

Peak list (9 most intense, 10° ≤ 2θ ≤ 90°, in order of rising 2θ)
27.6°, I = 100.0
32.0°, I = 91.9
45.9°, I = 68.3
54.4°, I = 49.8
57.0°, I = 24.1
66.9°, I = 11.3
73.8°, I = 20.6
76.1°, I = 31.6
84.9°, I = 24.5

Atomic structure:
```
data_Pa5P4S
_symmetry_space_group_name_H-M 'P 1'
_symmetry_Int_Tables_number 1
_cell_length_a 6.852
_cell_length_b 6.852
_cell_length_c 6.852
_cell_angle_alpha 99.60
_cell_angle_beta 99.60
_cell_angle_gamma 131.80
loop_
_symmetry_equiv_pos_as_xyz
'x,y,z'
loop_
_atom_site_label
_atom_site_type_symbol
_atom_site_fract_x
_atom_site_fract_y
_atom_site_fract_z
Pa1 Pa 0.000 0.000 0.000
Pa2 Pa 0.200 0.600 0.800
Pa3 Pa 0.400 0.200 0.600
Pa4 Pa 0.600 0.800 0.400
Pa5 Pa 0.800 0.400 0.200
P1 P 0.099 0.300 0.400
P2 P 0.300 0.901 0.201
P3 P 0.700 0.099 0.799
P4 P 0.901 0.700 0.600
S1 S 0.500 0.500 0.000
```